Record 1
# CaNiTe
Theoretical powder diffraction line list, Cu Kα (λ = 1.5418 Å). Input: the GGA-PBE geometry in Alexandria.
Intensities are scaled so that the largest is 100.

Cell: 4.398 4.397 6.777 Å, 90.00 90.02 90.00°
Sites, in units of the cell vectors:
Ca: 0.250 0.000 0.200
Ca: 0.750 0.500 0.800
Ni: 0.251 0.501 0.500
Ni: 0.749 0.001 0.500
Te: 0.249 0.000 0.720
Te: 0.751 0.500 0.280

Main lines, by angle (2θ = 5–70°):
13.06 deg, rel. 47; 24.12 deg, rel. 51; 26.30 deg, rel. 11; 28.71 deg, rel. 26; 31.66 deg, rel. 12; 33.38 deg, rel. 17; 39.33 deg, rel. 100; 41.05 deg, rel. 51; 48.18 deg, rel. 17; 59.45 deg, rel. 16


Record 2
# CaNiTe
Theoretical powder diffraction line list, Cu Kα (λ = 1.5418 Å). Input: the GGA-PBE geometry in Alexandria.
Intensities are scaled so that the largest is 100.

Cell: 8.829 8.829 8.829 Å, 28.44 28.44 28.44°
Sites, in units of the cell vectors:
Ca: 0.000 0.000 0.000
Ca: 0.161 0.161 0.161
Ni: 0.748 0.748 0.748
Ni: 0.893 0.893 0.893
Te: 0.410 0.410 0.410
Te: 0.578 0.578 0.578

Main lines, by angle (2θ = 5–70°):
20.99 deg, rel. 75; 23.95 deg, rel. 27; 24.71 deg, rel. 19; 29.57 deg, rel. 70; 34.36 deg, rel. 73; 41.64 deg, rel. 100; 42.72 deg, rel. 24; 47.08 deg, rel. 53; 55.05 deg, rel. 18; 61.18 deg, rel. 47


Record 3
# CaTlNi2
Theoretical powder diffraction line list, Cu Kα (λ = 1.5418 Å). Input: the GGA-PBE geometry in Alexandria.
Intensities are scaled so that the largest is 100.

Cell: 3.276 3.276 7.024 Å, 90.00 90.00 90.00°
Sites, in units of the cell vectors:
Ca: 0.000 0.000 0.000
Tl: 0.500 0.500 0.648
Ni: 0.000 0.000 0.398
Ni: 0.500 0.500 0.269

Main lines, by angle (2θ = 5–70°):
12.60 deg, rel. 79; 27.22 deg, rel. 31; 30.10 deg, rel. 63; 37.54 deg, rel. 100; 38.45 deg, rel. 21; 38.88 deg, rel. 70; 47.75 deg, rel. 32; 55.83 deg, rel. 28; 56.15 deg, rel. 23; 69.52 deg, rel. 32


Record 4
# CaY12Ni6
Theoretical powder diffraction line list, Cu Kα (λ = 1.5418 Å). Input: the GGA-PBE geometry in Alexandria.
Intensities are scaled so that the largest is 100.

Cell: 8.613 8.613 8.613 Å, 109.47 109.47 109.47°
Sites, in units of the cell vectors:
Ca: 0.000 0.000 0.000
Y: 0.126 0.813 0.313
Y: 0.187 0.313 0.500
Y: 0.187 0.687 0.874
Y: 0.313 0.126 0.813
Y: 0.313 0.500 0.187
Y: 0.500 0.187 0.313
Y: 0.500 0.813 0.687
Y: 0.687 0.500 0.813
Y: 0.687 0.874 0.187
Y: 0.813 0.313 0.126
Y: 0.813 0.687 0.500
Y: 0.874 0.187 0.687
Ni: 0.121 0.621 0.500
Ni: 0.379 0.500 0.879
Ni: 0.500 0.121 0.621
Ni: 0.500 0.879 0.379
Ni: 0.621 0.500 0.121
Ni: 0.879 0.379 0.500

Main lines, by angle (2θ = 5–70°):
12.59 deg, rel. 19; 28.38 deg, rel. 25; 31.15 deg, rel. 25; 33.72 deg, rel. 100; 38.40 deg, rel. 11; 46.56 deg, rel. 30; 53.74 deg, rel. 23; 55.43 deg, rel. 15; 57.09 deg, rel. 23; 66.48 deg, rel. 13


Record 5
# Ca2YNi
Theoretical powder diffraction line list, Cu Kα (λ = 1.5418 Å). Input: the GGA-PBE geometry in Alexandria.
Intensities are scaled so that the largest is 100.

Cell: 3.746 8.574 8.574 Å, 26.62 90.00 90.00°
Sites, in units of the cell vectors:
Ca: 0.000 0.000 0.000
Ca: 0.500 0.327 0.327
Y: 0.500 0.649 0.649
Ni: 0.000 0.182 0.182

Main lines, by angle (2θ = 5–70°):
10.60 deg, rel. 100; 21.30 deg, rel. 14; 27.71 deg, rel. 25; 32.15 deg, rel. 47; 33.41 deg, rel. 61; 36.81 deg, rel. 35; 42.92 deg, rel. 24; 45.98 deg, rel. 12; 50.96 deg, rel. 11; 57.21 deg, rel. 16


Record 6
# CaZn12Ni6
Theoretical powder diffraction line list, Cu Kα (λ = 1.5418 Å). Input: the GGA-PBE geometry in Alexandria.
Intensities are scaled so that the largest is 100.

Cell: 6.919 6.919 6.919 Å, 104.93 104.93 104.93°
Sites, in units of the cell vectors:
Ca: 0.000 0.000 0.000
Zn: 0.116 0.500 0.884
Zn: 0.116 0.884 0.500
Zn: 0.137 0.402 0.402
Zn: 0.402 0.137 0.402
Zn: 0.402 0.402 0.137
Zn: 0.500 0.116 0.884
Zn: 0.500 0.884 0.116
Zn: 0.598 0.598 0.863
Zn: 0.598 0.863 0.598
Zn: 0.863 0.598 0.598
Zn: 0.884 0.116 0.500
Zn: 0.884 0.500 0.116
Ni: 0.277 0.277 0.693
Ni: 0.277 0.693 0.277
Ni: 0.307 0.723 0.723
Ni: 0.693 0.277 0.277
Ni: 0.723 0.307 0.723
Ni: 0.723 0.723 0.307

Main lines, by angle (2θ = 5–70°):
14.13 deg, rel. 31; 16.16 deg, rel. 30; 35.73 deg, rel. 100; 36.22 deg, rel. 54; 42.88 deg, rel. 86; 43.30 deg, rel. 84; 43.86 deg, rel. 24; 47.03 deg, rel. 25; 47.62 deg, rel. 50; 52.94 deg, rel. 56


Record 7
# Ca2ZnNi16
Theoretical powder diffraction line list, Cu Kα (λ = 1.5418 Å). Input: the GGA-PBE geometry in Alexandria.
Intensities are scaled so that the largest is 100.

Cell: 6.289 6.289 6.289 Å, 83.26 83.26 83.26°
Sites, in units of the cell vectors:
Ca: 0.000 0.000 0.000
Ca: 0.310 0.310 0.310
Zn: 0.751 0.751 0.751
Ni: 0.156 0.652 0.652
Ni: 0.310 0.310 0.804
Ni: 0.310 0.804 0.310
Ni: 0.360 0.653 0.946
Ni: 0.360 0.946 0.653
Ni: 0.502 0.998 0.998
Ni: 0.554 0.554 0.554
Ni: 0.652 0.156 0.652
Ni: 0.652 0.652 0.156
Ni: 0.653 0.360 0.946
Ni: 0.653 0.946 0.360
Ni: 0.804 0.310 0.310
Ni: 0.946 0.360 0.653
Ni: 0.946 0.653 0.360
Ni: 0.998 0.502 0.998
Ni: 0.998 0.998 0.502

Main lines, by angle (2θ = 5–70°):
14.26 deg, rel. 35; 21.27 deg, rel. 24; 37.28 deg, rel. 28; 38.79 deg, rel. 27; 43.31 deg, rel. 63; 43.72 deg, rel. 91; 44.93 deg, rel. 36; 45.06 deg, rel. 20; 49.11 deg, rel. 100; 50.22 deg, rel. 31


Record 8
# Ca2Zn6Ni9
Theoretical powder diffraction line list, Cu Kα (λ = 1.5418 Å). Input: the GGA-PBE geometry in Alexandria.
Intensities are scaled so that the largest is 100.

Cell: 5.076 5.076 11.892 Å, 90.00 90.00 120.00°
Sites, in units of the cell vectors:
Ca: 0.000 0.000 0.184
Ca: 0.000 0.000 0.816
Zn: 0.333 0.667 0.165
Zn: 0.333 0.667 0.500
Zn: 0.333 0.667 0.835
Zn: 0.667 0.333 0.165
Zn: 0.667 0.333 0.500
Zn: 0.667 0.333 0.835
Ni: 0.000 0.500 0.000
Ni: 0.000 0.500 0.331
Ni: 0.000 0.500 0.669
Ni: 0.500 0.000 0.000
Ni: 0.500 0.000 0.331
Ni: 0.500 0.000 0.669
Ni: 0.500 0.500 0.000
Ni: 0.500 0.500 0.331
Ni: 0.500 0.500 0.669

Main lines, by angle (2θ = 5–70°):
20.20 deg, rel. 74; 35.36 deg, rel. 17; 41.06 deg, rel. 23; 42.28 deg, rel. 100; 45.78 deg, rel. 31; 47.29 deg, rel. 75; 50.51 deg, rel. 14; 55.29 deg, rel. 9; 63.17 deg, rel. 10; 68.23 deg, rel. 22


Record 9
# CaZn3Ni
Theoretical powder diffraction line list, Cu Kα (λ = 1.5418 Å). Input: the GGA-PBE geometry in Alexandria.
Intensities are scaled so that the largest is 100.

Cell: 6.522 6.522 5.134 Å, 90.00 90.00 126.48°
Sites, in units of the cell vectors:
Ca: 0.108 0.892 0.750
Ca: 0.892 0.108 0.250
Zn: 0.132 0.410 0.750
Zn: 0.314 0.686 0.250
Zn: 0.410 0.132 0.250
Zn: 0.590 0.868 0.750
Zn: 0.686 0.314 0.750
Zn: 0.868 0.590 0.250
Ni: 0.500 0.500 0.000
Ni: 0.500 0.500 0.500

Main lines, by angle (2θ = 5–70°):
16.91 deg, rel. 39; 32.69 deg, rel. 16; 34.96 deg, rel. 23; 38.32 deg, rel. 17; 38.56 deg, rel. 100; 41.72 deg, rel. 21; 43.79 deg, rel. 16; 45.07 deg, rel. 20; 47.20 deg, rel. 30; 65.09 deg, rel. 19


Record 10
# CaZrNi
Theoretical powder diffraction line list, Cu Kα (λ = 1.5418 Å). Input: the GGA-PBE geometry in Alexandria.
Intensities are scaled so that the largest is 100.

Cell: 3.479 3.901 10.857 Å, 90.00 99.02 90.00°
Sites, in units of the cell vectors:
Ca: 0.179 0.250 0.360
Ca: 0.821 0.750 0.640
Zr: 0.438 0.250 0.874
Zr: 0.562 0.750 0.126
Ni: 0.038 0.250 0.079
Ni: 0.962 0.750 0.921

Main lines, by angle (2θ = 5–70°):
8.25 deg, rel. 100; 28.29 deg, rel. 9; 33.43 deg, rel. 11; 34.80 deg, rel. 13; 36.83 deg, rel. 19; 40.62 deg, rel. 15; 45.75 deg, rel. 7; 45.87 deg, rel. 7; 46.56 deg, rel. 7; 52.61 deg, rel. 4


Record 11
# CaNp2O6
Theoretical powder diffraction line list, Cu Kα (λ = 1.5418 Å). Input: the GGA-PBE geometry in Alexandria.
Intensities are scaled so that the largest is 100.

Cell: 5.843 5.843 4.756 Å, 90.00 90.00 120.00°
Sites, in units of the cell vectors:
Ca: 0.000 0.000 0.000
Np: 0.333 0.667 0.500
Np: 0.667 0.333 0.500
O: 0.000 0.358 0.279
O: 0.000 0.642 0.721
O: 0.358 0.000 0.279
O: 0.358 0.358 0.721
O: 0.642 0.000 0.721
O: 0.642 0.642 0.279

Main lines, by angle (2θ = 5–70°):
17.53 deg, rel. 61; 18.66 deg, rel. 89; 25.71 deg, rel. 100; 30.60 deg, rel. 87; 36.08 deg, rel. 97; 40.38 deg, rel. 29; 49.42 deg, rel. 68; 51.50 deg, rel. 30; 54.39 deg, rel. 29; 58.02 deg, rel. 28


Record 12
# Ca2NpO6
Theoretical powder diffraction line list, Cu Kα (λ = 1.5418 Å). Input: the GGA-PBE geometry in Alexandria.
Intensities are scaled so that the largest is 100.

Cell: 5.853 5.645 10.902 Å, 90.00 122.41 90.00°
Sites, in units of the cell vectors:
Ca: 0.203 0.001 0.204
Ca: 0.203 0.499 0.704
Ca: 0.797 0.501 0.296
Ca: 0.797 0.999 0.796
Np: 0.500 0.000 0.000
Np: 0.500 0.500 0.500
O: 0.199 0.697 0.346
O: 0.199 0.803 0.846
O: 0.206 0.172 0.000
O: 0.206 0.328 0.500
O: 0.493 0.196 0.845
O: 0.493 0.304 0.345
O: 0.507 0.696 0.655
O: 0.507 0.804 0.155
O: 0.794 0.672 0.500
O: 0.794 0.828 0.000
O: 0.801 0.197 0.154
O: 0.801 0.303 0.654

Main lines, by angle (2θ = 5–70°):
17.96 deg, rel. 62; 18.44 deg, rel. 100; 21.88 deg, rel. 19; 29.32 deg, rel. 68; 32.96 deg, rel. 18; 35.92 deg, rel. 27; 36.68 deg, rel. 19; 44.60 deg, rel. 15; 46.39 deg, rel. 24; 53.54 deg, rel. 15


Record 13
# Ca2NpO4
Theoretical powder diffraction line list, Cu Kα (λ = 1.5418 Å). Input: the GGA-PBE geometry in Alexandria.
Intensities are scaled so that the largest is 100.

Cell: 5.852 10.055 3.482 Å, 90.00 90.00 90.00°
Sites, in units of the cell vectors:
Ca: 0.062 0.178 0.000
Ca: 0.438 0.678 0.000
Ca: 0.562 0.322 0.000
Ca: 0.938 0.822 0.000
Np: 0.000 0.500 0.500
Np: 0.500 0.000 0.500
O: 0.147 0.699 0.500
O: 0.240 0.458 0.000
O: 0.260 0.958 0.000
O: 0.353 0.199 0.500
O: 0.647 0.801 0.500
O: 0.740 0.042 0.000
O: 0.760 0.542 0.000
O: 0.853 0.301 0.500

Main lines, by angle (2θ = 5–70°):
17.53 deg, rel. 83; 17.64 deg, rel. 31; 30.55 deg, rel. 17; 30.74 deg, rel. 45; 31.20 deg, rel. 100; 44.27 deg, rel. 36; 54.72 deg, rel. 18; 54.90 deg, rel. 14; 55.02 deg, rel. 19; 62.14 deg, rel. 12